The following is a simulated powder diffraction line list of Ca4Ti4Si3GeO20. It was derived from a GGA-PBE-relaxed structure, using Cu Kα X-rays.

Top 12 peaks for 10° ≤ 2θ ≤ 80°, by intensity:
Position (°2θ), d_spacing, I (rel.)
27.03, 3.299, 100
29.27, 3.051, 79
33.86, 2.647, 71
34.09, 2.630, 48
54.90, 1.672, 29
60.99, 1.519, 21
52.91, 1.730, 21
42.88, 2.109, 18
58.42, 1.580, 18
17.68, 5.017, 17
38.89, 2.316, 16
51.37, 1.779, 16

Structure:
Unit cell a=6.689 b=7.184 c=8.815 alpha=90.02 beta=90.01 gamma=114.18
Space group P1 (No. 1)
One atom of each set of equivalent atoms:
Ca 0.000 0.000 0.000 x1
Ca 0.000 0.499 0.341 x1
Ca 0.495 0.012 0.496 x1
Ca 0.495 0.513 0.845 x1
Ti 0.000 0.746 0.669 x1
Ti 0.498 0.770 0.169 x1
Ti 0.499 0.266 0.165 x1
Ti 0.995 0.242 0.675 x1
Si 0.498 0.009 0.849 x1
Si 0.997 0.005 0.352 x1
Si 0.997 0.505 0.989 x1
Ge 0.499 0.510 0.489 x1
O 0.094 0.871 0.458 x1
O 0.095 0.370 0.885 x1
O 0.184 0.662 0.105 x1
O 0.185 0.162 0.236 x1
O 0.308 0.339 0.617 x1
O 0.312 0.852 0.734 x1
O 0.391 0.654 0.380 x1
O 0.400 0.143 0.956 x1
O 0.500 0.508 0.104 x1
O 0.501 0.009 0.236 x1
O 0.596 0.875 0.956 x1
O 0.605 0.364 0.380 x1
O 0.682 0.165 0.732 x1
O 0.688 0.680 0.618 x1
O 0.810 0.850 0.235 x1
O 0.811 0.349 0.106 x1
O 0.900 0.640 0.885 x1
O 0.901 0.141 0.458 x1
O 0.995 0.006 0.743 x1
O 0.995 0.506 0.601 x1